Starting from a DFT-relaxed cell (PBE, the Materials Project), the powder diffractogram of Cs3GaO3 was computed for Cu Kα, 1.54184 Å.

Cell and atoms:
```
Cs3GaO3
1.0
3.9325 -6.2171 0.0000
3.9325 6.2171 0.0000
-2.0368 0.0000 7.0689
Cs Ga O
6 2 6
direct
0.2028 0.7972 0.0000
0.2533 0.7467 0.5000
0.3744 0.3744 0.1645
0.6256 0.6256 0.8355
0.7467 0.2533 0.5000
0.7972 0.2028 0.0000
0.1594 0.1594 0.6484
0.8406 0.8406 0.3516
0.0942 0.0942 0.3696
0.1523 0.4004 0.7625
0.4004 0.1523 0.7625
0.5996 0.8477 0.2375
0.8477 0.5996 0.2375
0.9058 0.9058 0.6304
```

Most intense lines, 2θ from 10° to 90°, sorted by position:
d/Å  Position (°2θ)  Rel. int.
3.779  23.54  21
3.465  25.71  32
3.229  27.62  47
3.109  28.72  41
3.072  29.07  100
2.726  32.85  40
2.404  37.41  37
1.808  50.49  24